The following is a simulated powder diffractogram of Nd6SmHo4. It was derived from the PBE geometry in Alexandria, using Cu Ka.

Atomic structure:
```
data_Nd6SmHo4
_cell_length_a 5.6812
_cell_length_b 5.6812
_cell_length_c 25.9555
_cell_angle_alpha 90.00
_cell_angle_beta 90.00
_cell_angle_gamma 117.64
_symmetry_space_group_name_H-M 'P 1'
_symmetry_Int_Tables_number 1
loop_
_symmetry_equiv_pos_as_xyz
'x,y,z'
loop_
_atom_site_label
_atom_site_type_symbol
_atom_site_fract_x
_atom_site_fract_y
_atom_site_fract_z
Nd1 Nd 0.0000 0.0000 0.0000
Nd2 Nd 0.0000 0.0000 0.5000
Nd3 Nd 0.0515 0.9485 0.7500
Nd4 Nd 0.2997 0.7003 0.1001
Nd5 Nd 0.2997 0.7003 0.3999
Nd6 Nd 0.3777 0.6223 0.6814
Nd7 Nd 0.3777 0.6223 0.8186
Nd8 Nd 0.6223 0.3777 0.1814
Nd9 Nd 0.6223 0.3777 0.3186
Nd10 Nd 0.7003 0.2997 0.6001
Nd11 Nd 0.7003 0.2997 0.8999
Nd12 Nd 0.9485 0.0515 0.2500
Sm1 Sm 0.2875 0.7125 0.2500
Sm2 Sm 0.7125 0.2875 0.7500
Ho1 Ho 0.0433 0.9567 0.6237
Ho2 Ho 0.0433 0.9567 0.8763
Ho3 Ho 0.3500 0.6500 0.5440
Ho4 Ho 0.3500 0.6500 0.9560
Ho5 Ho 0.6500 0.3500 0.0440
Ho6 Ho 0.6500 0.3500 0.4560
Ho7 Ho 0.9567 0.0433 0.1237
Ho8 Ho 0.9567 0.0433 0.3763
```

Main lines, low angle first (2θ from 15° to 90°):
| Position (°2θ) | d [Å] | I_rel |
| --- | --- | --- |
| 29.9 | 2.985 | 47 |
| 30.4 | 2.944 | 100 |
| 31.5 | 2.838 | 61 |
| 31.7 | 2.821 | 38 |
| 32.8 | 2.727 | 48 |
| 43.5 | 2.082 | 32 |
| 54.7 | 1.678 | 13 |
| 55.6 | 1.653 | 21 |

=====

The following is a simulated powder diffractogram of Nd2SmHo6. It was derived from the PBE geometry in Alexandria, using Cu Ka.

Atomic structure:
```
data_Nd2SmHo6
_cell_length_a 9.5900
_cell_length_b 9.5900
_cell_length_c 6.5864
_cell_angle_alpha 98.88
_cell_angle_beta 98.88
_cell_angle_gamma 95.77
_symmetry_space_group_name_H-M 'P 1'
_symmetry_Int_Tables_number 1
loop_
_symmetry_equiv_pos_as_xyz
'x,y,z'
loop_
_atom_site_label
_atom_site_type_symbol
_atom_site_fract_x
_atom_site_fract_y
_atom_site_fract_z
Nd1 Nd 0.1162 0.1691 0.3734
Nd2 Nd 0.1691 0.1162 0.8734
Nd3 Nd 0.8309 0.8838 0.1266
Nd4 Nd 0.8838 0.8309 0.6266
Sm1 Sm 0.3808 0.6192 0.7500
Sm2 Sm 0.6192 0.3808 0.2500
Ho1 Ho 0.0376 0.4422 0.7319
Ho2 Ho 0.1536 0.7771 0.9979
Ho3 Ho 0.2229 0.8464 0.5021
Ho4 Ho 0.2793 0.4555 0.1822
Ho5 Ho 0.4422 0.0376 0.2319
Ho6 Ho 0.4555 0.2793 0.6822
Ho7 Ho 0.5445 0.7207 0.3178
Ho8 Ho 0.5578 0.9624 0.7681
Ho9 Ho 0.7207 0.5445 0.8178
Ho10 Ho 0.7771 0.1536 0.4979
Ho11 Ho 0.8464 0.2229 0.0021
Ho12 Ho 0.9624 0.5578 0.2681
```

Main lines, low angle first (2θ from 15° to 90°):
| Position (°2θ) | d [Å] | I_rel |
| --- | --- | --- |
| 28.7 | 3.107 | 91 |
| 30.9 | 2.889 | 100 |
| 31.2 | 2.864 | 69 |
| 31.4 | 2.848 | 83 |
| 32.3 | 2.775 | 59 |
| 33.1 | 2.704 | 41 |
| 33.6 | 2.669 | 50 |
| 34.2 | 2.618 | 43 |

=====

The following is a simulated powder diffractogram of Nd2Sm4Ho3. It was derived from the PBE geometry in Alexandria, using Cu Ka.

Atomic structure:
```
data_Nd2Sm4Ho3
_cell_length_a 3.6239
_cell_length_b 3.6239
_cell_length_c 26.7354
_cell_angle_alpha 90.00
_cell_angle_beta 90.00
_cell_angle_gamma 120.00
_symmetry_space_group_name_H-M 'P 1'
_symmetry_Int_Tables_number 1
loop_
_symmetry_equiv_pos_as_xyz
'x,y,z'
loop_
_atom_site_label
_atom_site_type_symbol
_atom_site_fract_x
_atom_site_fract_y
_atom_site_fract_z
Nd1 Nd 0.0000 0.0000 0.0000
Nd2 Nd 0.0000 0.0000 0.2158
Sm1 Sm 0.0000 0.0000 0.3494
Sm2 Sm 0.0000 0.0000 0.5622
Sm3 Sm 0.3333 0.6667 0.6728
Sm4 Sm 0.3333 0.6667 0.8874
Ho1 Ho 0.0000 0.0000 0.7802
Ho2 Ho 0.3333 0.6667 0.1098
Ho3 Ho 0.3333 0.6667 0.4539
```

Main lines, low angle first (2θ from 15° to 90°):
| Position (°2θ) | d [Å] | I_rel |
| --- | --- | --- |
| 28.4 | 3.138 | 43 |
| 30.1 | 2.971 | 43 |
| 31.5 | 2.841 | 55 |
| 33.1 | 2.707 | 100 |
| 41.9 | 2.157 | 27 |
| 50.4 | 1.812 | 35 |
| 56.4 | 1.631 | 32 |
| 59.8 | 1.547 | 38 |

=====

The following is a simulated powder diffractogram of Nd7Sm2Ho3. It was derived from the PBE geometry in Alexandria, using Cu Ka.

Atomic structure:
```
data_Nd7Sm2Ho3
_cell_length_a 5.9179
_cell_length_b 3.6401
_cell_length_c 19.1256
_cell_angle_alpha 90.00
_cell_angle_beta 93.65
_cell_angle_gamma 90.00
_symmetry_space_group_name_H-M 'P 1'
_symmetry_Int_Tables_number 1
loop_
_symmetry_equiv_pos_as_xyz
'x,y,z'
loop_
_atom_site_label
_atom_site_type_symbol
_atom_site_fract_x
_atom_site_fract_y
_atom_site_fract_z
Nd1 Nd 0.0000 0.0000 0.0000
Nd2 Nd 0.1757 0.5000 0.1817
Nd3 Nd 0.2583 0.5000 0.5353
Nd4 Nd 0.3270 0.0000 0.8558
Nd5 Nd 0.6730 0.0000 0.1442
Nd6 Nd 0.7417 0.5000 0.4647
Nd7 Nd 0.8243 0.5000 0.8183
Sm1 Sm 0.2976 0.5000 0.7024
Sm2 Sm 0.7024 0.5000 0.2976
Ho1 Ho 0.2143 0.0000 0.3684
Ho2 Ho 0.5000 0.5000 0.0000
Ho3 Ho 0.7857 0.0000 0.6316
```

Main lines, low angle first (2θ from 15° to 90°):
| Position (°2θ) | d [Å] | I_rel |
| --- | --- | --- |
| 28.0 | 3.181 | 29 |
| 30.3 | 2.949 | 67 |
| 30.6 | 2.919 | 100 |
| 30.9 | 2.894 | 35 |
| 31.1 | 2.877 | 43 |
| 31.7 | 2.823 | 32 |
| 32.8 | 2.729 | 36 |
| 34.0 | 2.639 | 34 |

=====

The following is a simulated powder diffractogram of Nd5Sm2Ho5. It was derived from the PBE geometry in Alexandria, using Cu Ka.

Atomic structure:
```
data_Nd5Sm2Ho5
_cell_length_a 8.0620
_cell_length_b 8.0620
_cell_length_c 11.4310
_cell_angle_alpha 115.15
_cell_angle_beta 115.15
_cell_angle_gamma 36.79
_symmetry_space_group_name_H-M 'P 1'
_symmetry_Int_Tables_number 1
loop_
_symmetry_equiv_pos_as_xyz
'x,y,z'
loop_
_atom_site_label
_atom_site_type_symbol
_atom_site_fract_x
_atom_site_fract_y
_atom_site_fract_z
Nd1 Nd 0.0000 0.0000 0.0000
Nd2 Nd 0.1651 0.1651 0.4987
Nd3 Nd 0.2495 0.2495 0.2478
Nd4 Nd 0.7505 0.7505 0.7522
Nd5 Nd 0.8349 0.8349 0.5013
Sm1 Sm 0.0830 0.0830 0.7518
Sm2 Sm 0.9170 0.9170 0.2482
Ho1 Ho 0.3329 0.3329 0.9995
Ho2 Ho 0.4177 0.4177 0.7512
Ho3 Ho 0.5000 0.5000 0.5000
Ho4 Ho 0.5823 0.5823 0.2488
Ho5 Ho 0.6671 0.6671 0.0005
```

Main lines, low angle first (2θ from 15° to 90°):
| Position (°2θ) | d [Å] | I_rel |
| --- | --- | --- |
| 30.4 | 2.944 | 100 |
| 35.2 | 2.553 | 34 |
| 35.3 | 2.544 | 17 |
| 50.6 | 1.802 | 30 |
| 60.1 | 1.539 | 22 |
| 60.3 | 1.536 | 21 |
| 63.2 | 1.472 | 12 |
| 82.5 | 1.170 | 12 |

=====

The following is a simulated powder diffractogram of Nd8Sm3Ho. It was derived from the PBE geometry in Alexandria, using Cu Ka.

Atomic structure:
```
data_Nd8Sm3Ho
_cell_length_a 8.8112
_cell_length_b 8.8112
_cell_length_c 8.8112
_cell_angle_alpha 135.37
_cell_angle_beta 99.69
_cell_angle_gamma 96.89
_symmetry_space_group_name_H-M 'P 1'
_symmetry_Int_Tables_number 1
loop_
_symmetry_equiv_pos_as_xyz
'x,y,z'
loop_
_atom_site_label
_atom_site_type_symbol
_atom_site_fract_x
_atom_site_fract_y
_atom_site_fract_z
Nd1 Nd 0.0855 0.2493 0.8363
Nd2 Nd 0.2414 0.2564 0.4990
Nd3 Nd 0.2426 0.7436 0.9851
Nd4 Nd 0.4129 0.2492 0.1637
Nd5 Nd 0.5871 0.7507 0.8363
Nd6 Nd 0.7574 0.7425 0.5010
Nd7 Nd 0.7586 0.2575 0.0149
Nd8 Nd 0.9145 0.7508 0.1637
Sm1 Sm 0.2450 0.7450 0.5000
Sm2 Sm 0.5000 0.5000 0.0000
Sm3 Sm 0.7550 0.2550 0.5000
Ho1 Ho 0.0000 0.0000 0.0000
```

Main lines, low angle first (2θ from 15° to 90°):
| Position (°2θ) | d [Å] | I_rel |
| --- | --- | --- |
| 30.6 | 2.922 | 57 |
| 30.8 | 2.903 | 48 |
| 31.0 | 2.883 | 30 |
| 31.2 | 2.871 | 100 |
| 34.7 | 2.585 | 39 |
| 44.1 | 2.052 | 25 |
| 50.0 | 1.826 | 26 |
| 65.0 | 1.436 | 26 |